Record 1
This entry pairs a crystal structure of Sm8Sn3Te4 with its calculated XRD peak list. Radiation: CuKα. Structure: a GGA-PBE-relaxed structure.

Main lines, by angle (2θ from 10° to 90°):
2θ/deg, I_rel
28.53, 100
40.73, 38
40.81, 25
40.94, 13
50.43, 14
50.65, 14
66.82, 21
67.00, 9
74.10, 9
74.36, 9

Structural model:
```
Sm8Sn3Te4
1.0
6.2456 -6.2618 0.0000
6.2456 6.2618 0.0000
-6.2073 0.0000 6.2614
Sm Sn Te
8 3 4
direct
0.2426 0.2426 0.4959
0.2435 0.2435 0.9963
0.2474 0.7526 0.0000
0.2473 0.7527 0.5000
0.7526 0.2474 0.0000
0.7527 0.2473 0.5000
0.7565 0.7565 0.0037
0.7574 0.7574 0.5041
0.0000 0.0000 0.0000
0.0000 0.5000 0.5000
0.5000 0.0000 0.5000
0.0000 0.5000 0.0000
0.5000 0.0000 0.0000
0.5000 0.5000 0.0000
0.5000 0.5000 0.5000
```

Record 2
This entry pairs a crystal structure of Sm3SnTe2 with its calculated XRD peak list. Radiation: CuKα. Structure: a GGA-PBE-relaxed structure.

Main lines, by angle (2θ from 10° to 90°):
2θ/deg, I_rel
28.25, 100
40.22, 13
40.42, 63
49.91, 14
50.12, 13
58.37, 9
66.12, 12
66.25, 18
73.22, 9
73.57, 13

Structural model:
```
Sm3SnTe2
1.0
-2.2423 3.1523 6.6883
2.2423 -3.1523 6.6883
2.2423 3.1523 -6.6883
Sm Sn Te
3 1 2
direct
0.0000 0.0000 0.0000
0.3398 0.3398 0.0000
0.6602 0.6602 0.0000
0.5000 0.0000 0.5000
0.1684 0.6684 0.5000
0.8316 0.3316 0.5000
```

Record 3
This entry pairs a crystal structure of SmSn6Te8 with its calculated XRD peak list. Radiation: CuKα. Structure: a GGA-PBE-relaxed structure.

Main lines, by angle (2θ from 10° to 90°):
2θ/deg, I_rel
14.16, 29
22.42, 12
26.56, 15
30.21, 100
33.55, 52
39.37, 13
45.76, 10
46.90, 36
51.60, 11
59.85, 15

Structural model:
```
SmSn6Te8
1.0
10.2530 0.0000 0.0000
-5.1265 8.8794 0.0000
0.0000 0.0000 6.2560
Sm Sn Te
1 6 8
direct
0.0000 0.0000 0.0000
0.0813 0.6742 0.1690
0.3258 0.4071 0.1690
0.4071 0.0813 0.8310
0.5929 0.9187 0.1690
0.6742 0.5929 0.8310
0.9187 0.3258 0.8310
0.9996 0.2641 0.2638
0.0004 0.7359 0.7362
0.2641 0.2646 0.7362
0.2646 0.0004 0.2638
0.3333 0.6667 0.9412
0.6667 0.3333 0.0588
0.7354 0.9996 0.7362
0.7359 0.7354 0.2638
```

Record 4
This entry pairs a crystal structure of Sm6Sn3Te with its calculated XRD peak list. Radiation: CuKα. Structure: a GGA-PBE-relaxed structure.

Main lines, by angle (2θ from 10° to 90°):
2θ/deg, I_rel
22.44, 44
26.23, 33
30.25, 75
30.53, 32
31.25, 100
33.21, 48
33.35, 54
37.74, 43
42.60, 20
46.40, 27

Structural model:
```
Sm6Sn3Te
1.0
5.8710 -7.5143 0.0000
5.8710 7.5143 0.0000
0.0000 0.0000 7.6863
Sm Sn Te
12 6 2
direct
0.0002 0.9998 0.0000
0.9998 0.0002 0.5000
0.0953 0.5472 0.0212
0.2554 0.7446 0.6176
0.2775 0.3637 0.6053
0.3637 0.2775 0.1053
0.4528 0.9047 0.0212
0.5472 0.0953 0.5212
0.6363 0.7225 0.6053
0.7225 0.6363 0.1053
0.7446 0.2554 0.1176
0.9047 0.4528 0.5212
0.0675 0.2826 0.2702
0.2826 0.0675 0.7702
0.4181 0.5819 0.9002
0.5819 0.4181 0.4002
0.7174 0.9325 0.2702
0.9325 0.7174 0.7702
0.1680 0.8320 0.2519
0.8320 0.1680 0.7519
```